Computed PXRD pattern
Compound: SrPr2TcO8
Radiation: Cu Kα (λ = 1.5418 Å)
Structure: DFT lattice parameters and positions (PBE)
Peak positions follow from Bragg's law for the DFT cell and can differ from measured ones.

Cell and atoms:
abc: 4.4669 5.2735 7.2010
angles: 90.00 106.74 90.00
Space group P2/m (No. 10)
Symmetry-distinct sites (fractional):
Sr  0.0000  0.0000  0.0000 x1
Pr  0.3795  0.5000  0.7104 x2
Tc  0.0000  0.0000  0.5000 x1
O  0.1920  0.2557  0.3894 x4
O  0.2279  0.5000  0.9962 x2
O  0.3379  0.0000  0.7417 x2

Main lines, in order of falling intensity (2θ from 10° to 90°):
d 3.322, I 100.0, hkl 1 1 0; d 2.886, I 68.2, hkl 0 1 2; d 3.167, I 58.7, hkl 1 0 -2; d 2.026, I 52.1, hkl 1 2 -2; d 2.637, I 43.7, hkl 0 2 0; d 1.959, I 23.5, hkl 2 1 -2; d 6.896, I 22.5, hkl 0 0 1; d 2.761, I 22.5, hkl 1 1 1


Computed PXRD pattern
Compound: LaNb3O9
Radiation: Cu Kα (λ = 1.5418 Å)
Structure: DFT lattice parameters and positions (PBE)
Peak positions follow from Bragg's law for the DFT cell and can differ from measured ones.

Cell and atoms:
abc: 5.6888 8.9368 8.9423
angles: 101.41 108.51 108.54
Space group P1 (No. 1)
Symmetry-distinct sites (fractional):
La  0.0000  0.0000  0.0000 x1
La  0.3384  0.9983  0.6791 x1
Nb  0.0006  0.7486  0.2562 x1
Nb  0.3288  0.7400  0.9284 x1
Nb  0.3334  0.2505  0.4217 x1
Nb  0.6497  0.7348  0.5763 x1
Nb  0.6766  0.2642  0.1017 x1
Nb  0.9974  0.2577  0.7489 x1
O  0.1328  0.4986  0.8377 x1
O  0.1353  0.7645  0.0859 x1
O  0.1384  0.9988  0.3366 x1
O  0.1391  0.2286  0.5880 x1
O  0.2779  0.2262  0.9157 x1
O  0.3130  0.7666  0.4369 x1
O  0.4390  0.9980  0.9869 x1
O  0.4464  0.2321  0.2402 x1
O  0.4665  0.4958  0.5025 x1
O  0.4725  0.7710  0.7608 x1
O  0.6209  0.2320  0.5904 x1
O  0.6587  0.7673  0.0883 x1
O  0.7744  0.2263  0.9127 x1
O  0.7908  0.9996  0.6909 x1
O  0.8058  0.5026  0.1753 x1
O  0.8348  0.7694  0.4372 x1
O  0.9662  0.2299  0.2408 x1
O  0.9735  0.7722  0.7648 x1

Main lines, in order of falling intensity (2θ from 10° to 90°):
d 2.830, I 100.0, hkl 1 2 -2; d 4.005, I 48.7, hkl 1 0 -2; d 7.992, I 37.9, hkl 0 1 0; d 2.005, I 31.6, hkl 2 0 -4; d 3.584, I 27.4, hkl 1 -2 1; d 2.844, I 20.2, hkl -2 1 1; d 1.632, I 19.5, hkl 0 5 -3; d 1.639, I 17.0, hkl 3 0 0